Record 1
Calculated powder X-ray diffraction pattern of Er2MgS4 for λ = 1.5418 Å (Cu Kα), from a DFT-relaxed cell (PBE, the Materials Project).
No peak broadening, texture or thermal motion is included.

Top 10 peaks for 10 to 90 degrees two-theta, in order of rising 2θ:
13.79 deg, I = 1000
26.59 deg, I = 919
27.79 deg, I = 311
32.20 deg, I = 816
35.18 deg, I = 251
42.23 deg, I = 392
46.18 deg, I = 723
48.43 deg, I = 259
76.64 deg, I = 254
85.57 deg, I = 242

Crystal structure
Unit cell a=7.863 b=7.863 c=7.863 alpha=60.00 beta=60.00 gamma=60.00
Fractional coordinates of all 14 atoms:
Er: 0.000 0.000 0.000
Er: 0.000 0.000 0.500
Er: 0.000 0.500 0.000
Er: 0.500 0.000 0.000
Mg: 0.375 0.375 0.375
Mg: 0.625 0.625 0.625
S: 0.235 0.755 0.755
S: 0.245 0.245 0.245
S: 0.245 0.245 0.765
S: 0.245 0.765 0.245
S: 0.755 0.235 0.755
S: 0.755 0.755 0.235
S: 0.755 0.755 0.755
S: 0.765 0.245 0.245

Record 2
Calculated powder X-ray diffraction pattern of Er2MgS4 for λ = 1.5418 Å (Cu Kα), from a DFT-relaxed cell (PBE, the Materials Project).
No peak broadening, texture or thermal motion is included.

Top 10 peaks for 10 to 90 degrees two-theta, in order of rising 2θ:
15.16 deg, I = 618
18.95 deg, I = 990
24.15 deg, I = 538
26.35 deg, I = 544
26.73 deg, I = 505
27.43 deg, I = 825
38.44 deg, I = 1000
38.58 deg, I = 434
43.15 deg, I = 281
46.74 deg, I = 374

Crystal structure
Unit cell a=13.431 b=7.830 c=6.491 alpha=90.00 beta=90.00 gamma=90.00
Fractional coordinates of all 28 atoms:
Er: 0.000 0.000 0.000
Er: 0.000 0.500 0.000
Er: 0.232 0.250 0.499
Er: 0.268 0.750 0.999
Er: 0.500 0.000 0.500
Er: 0.500 0.500 0.500
Er: 0.732 0.250 0.001
Er: 0.768 0.750 0.501
Mg: 0.093 0.750 0.574
Mg: 0.407 0.250 0.074
Mg: 0.593 0.750 0.926
Mg: 0.907 0.250 0.426
S: 0.072 0.250 0.252
S: 0.092 0.750 0.206
S: 0.168 0.508 0.757
S: 0.168 0.992 0.757
S: 0.332 0.008 0.257
S: 0.332 0.492 0.257
S: 0.408 0.250 0.706
S: 0.428 0.750 0.752
S: 0.572 0.250 0.248
S: 0.592 0.750 0.294
S: 0.668 0.508 0.743
S: 0.668 0.992 0.743
S: 0.832 0.008 0.243
S: 0.832 0.492 0.243
S: 0.908 0.250 0.794
S: 0.928 0.750 0.748

Record 3
Calculated powder X-ray diffraction pattern of ErMgS3 for λ = 1.5418 Å (Cu Kα), from a DFT-relaxed cell (PBE, the Materials Project).
No peak broadening, texture or thermal motion is included.

Top 10 peaks for 10 to 90 degrees two-theta, in order of rising 2θ:
14.75 deg, I = 1000
16.95 deg, I = 590
21.02 deg, I = 372
25.87 deg, I = 517
27.04 deg, I = 408
27.85 deg, I = 551
29.51 deg, I = 438
33.48 deg, I = 471
45.25 deg, I = 385
46.22 deg, I = 352

Crystal structure
Unit cell a=6.962 b=6.962 c=6.650 alpha=103.07 beta=103.07 gamma=119.28
Fractional coordinates of all 10 atoms:
Er: 0.198 0.198 0.322
Er: 0.802 0.802 0.678
Mg: 0.338 0.662 0.000
Mg: 0.662 0.338 0.000
S: 0.114 0.777 0.200
S: 0.223 0.886 0.800
S: 0.468 0.468 0.743
S: 0.532 0.532 0.257
S: 0.777 0.114 0.200
S: 0.886 0.223 0.800

Record 4
Calculated powder X-ray diffraction pattern of Er2MgS4 for λ = 1.5418 Å (Cu Kα), from a DFT-relaxed cell (PBE, the Materials Project).
No peak broadening, texture or thermal motion is included.

Top 10 peaks for 10 to 90 degrees two-theta, in order of rising 2θ:
13.63 deg, I = 377
14.51 deg, I = 827
22.87 deg, I = 462
24.58 deg, I = 907
26.13 deg, I = 571
30.15 deg, I = 421
33.53 deg, I = 381
36.18 deg, I = 1000
37.07 deg, I = 642
50.39 deg, I = 493

Crystal structure
Unit cell a=7.929 b=7.243 c=11.333 alpha=90.00 beta=90.00 gamma=90.00
Fractional coordinates of all 28 atoms:
Er: 0.035 0.250 0.189
Er: 0.075 0.750 0.479
Er: 0.425 0.250 0.979
Er: 0.465 0.750 0.689
Er: 0.535 0.250 0.311
Er: 0.575 0.750 0.021
Er: 0.925 0.250 0.521
Er: 0.965 0.750 0.811
Mg: 0.185 0.750 0.091
Mg: 0.315 0.250 0.591
Mg: 0.685 0.750 0.409
Mg: 0.815 0.250 0.909
S: 0.102 0.250 0.955
S: 0.130 0.000 0.657
S: 0.130 0.500 0.657
S: 0.216 0.250 0.388
S: 0.284 0.750 0.888
S: 0.370 0.000 0.157
S: 0.370 0.500 0.157
S: 0.398 0.750 0.455
S: 0.602 0.250 0.545
S: 0.630 0.000 0.843
S: 0.630 0.500 0.843
S: 0.716 0.250 0.112
S: 0.784 0.750 0.612
S: 0.870 0.000 0.343
S: 0.870 0.500 0.343
S: 0.898 0.750 0.045

Record 5
Calculated powder X-ray diffraction pattern of Er2MgS4 for λ = 1.5418 Å (Cu Kα), from a DFT-relaxed cell (PBE, the Materials Project).
No peak broadening, texture or thermal motion is included.

Top 10 peaks for 10 to 90 degrees two-theta, in order of rising 2θ:
15.13 deg, I = 583
21.86 deg, I = 403
26.19 deg, I = 856
26.69 deg, I = 1000
33.71 deg, I = 398
34.76 deg, I = 428
34.88 deg, I = 831
40.53 deg, I = 718
41.43 deg, I = 525
49.78 deg, I = 352

Crystal structure
Unit cell a=7.133 b=7.133 c=7.133 alpha=110.49 beta=110.49 gamma=107.45
Fractional coordinates of all 14 atoms:
Er: 0.007 0.625 0.882
Er: 0.375 0.257 0.382
Er: 0.743 0.125 0.118
Er: 0.875 0.993 0.618
Mg: 0.250 0.750 0.500
Mg: 0.500 0.500 0.000
S: 0.007 0.879 0.261
S: 0.121 0.382 0.128
S: 0.132 0.371 0.628
S: 0.254 0.993 0.872
S: 0.496 0.868 0.239
S: 0.618 0.746 0.739
S: 0.629 0.257 0.761
S: 0.743 0.504 0.372

Record 6
Calculated powder X-ray diffraction pattern of Er2MgS4 for λ = 1.5418 Å (Cu Kα), from a DFT-relaxed cell (PBE, the Materials Project).
No peak broadening, texture or thermal motion is included.

Top 10 peaks for 10 to 90 degrees two-theta, in order of rising 2θ:
13.85 deg, I = 366
20.92 deg, I = 845
25.00 deg, I = 335
25.33 deg, I = 645
26.61 deg, I = 1000
31.24 deg, I = 616
39.73 deg, I = 353
43.83 deg, I = 742
47.74 deg, I = 330
48.99 deg, I = 262

Crystal structure
Unit cell a=7.152 b=8.264 c=12.969 alpha=99.34 beta=95.45 gamma=90.00
Fractional coordinates of all 28 atoms:
Er: 0.132 0.446 0.302
Er: 0.133 0.956 0.305
Er: 0.258 0.127 0.000
Er: 0.364 0.300 0.697
Er: 0.636 0.700 0.303
Er: 0.742 0.873 0.000
Er: 0.867 0.044 0.695
Er: 0.868 0.554 0.698
Mg: 0.251 0.623 0.997
Mg: 0.367 0.800 0.700
Mg: 0.633 0.200 0.300
Mg: 0.749 0.377 0.003
S: 0.097 0.406 0.103
S: 0.104 0.898 0.104
S: 0.193 0.541 0.627
S: 0.194 0.023 0.627
S: 0.311 0.719 0.376
S: 0.325 0.219 0.373
S: 0.394 0.845 0.891
S: 0.404 0.353 0.896
S: 0.596 0.647 0.104
S: 0.606 0.155 0.109
S: 0.675 0.781 0.627
S: 0.689 0.281 0.624
S: 0.806 0.977 0.373
S: 0.807 0.459 0.373
S: 0.896 0.102 0.896
S: 0.903 0.594 0.897

Record 7
Calculated powder X-ray diffraction pattern of Er2MgS4 for λ = 1.5418 Å (Cu Kα), from a DFT-relaxed cell (PBE, the Materials Project).
No peak broadening, texture or thermal motion is included.

Top 10 peaks for 10 to 90 degrees two-theta, in order of rising 2θ:
15.11 deg, I = 896
24.64 deg, I = 861
27.38 deg, I = 1000
30.96 deg, I = 300
32.51 deg, I = 372
34.59 deg, I = 735
42.10 deg, I = 385
42.59 deg, I = 412
47.69 deg, I = 247
48.09 deg, I = 319

Crystal structure
Unit cell a=12.521 b=3.814 c=13.272 alpha=90.00 beta=90.00 gamma=90.00
Fractional coordinates of all 28 atoms:
Er: 0.115 0.250 0.077
Er: 0.142 0.250 0.704
Er: 0.358 0.750 0.204
Er: 0.385 0.750 0.577
Er: 0.615 0.250 0.423
Er: 0.642 0.250 0.796
Er: 0.858 0.750 0.296
Er: 0.885 0.750 0.923
Mg: 0.115 0.750 0.445
Mg: 0.385 0.250 0.945
Mg: 0.615 0.750 0.055
Mg: 0.885 0.250 0.555
S: 0.014 0.750 0.614
S: 0.030 0.250 0.883
S: 0.222 0.250 0.252
S: 0.242 0.250 0.517
S: 0.258 0.750 0.017
S: 0.278 0.750 0.752
S: 0.470 0.750 0.383
S: 0.486 0.250 0.114
S: 0.514 0.750 0.886
S: 0.530 0.250 0.617
S: 0.722 0.250 0.248
S: 0.742 0.250 0.983
S: 0.758 0.750 0.483
S: 0.778 0.750 0.748
S: 0.970 0.750 0.117
S: 0.986 0.250 0.386

Record 8
Calculated powder X-ray diffraction pattern of ErMg2Sc for λ = 1.5418 Å (Cu Kα), from a DFT-relaxed cell (PBE, the Materials Project).
No peak broadening, texture or thermal motion is included.

Top 10 peaks for 10 to 90 degrees two-theta, in order of rising 2θ:
20.89 deg, I = 478
24.16 deg, I = 455
34.44 deg, I = 1000
40.62 deg, I = 274
42.51 deg, I = 136
49.49 deg, I = 176
54.28 deg, I = 122
55.81 deg, I = 182
61.69 deg, I = 357
82.89 deg, I = 152

Crystal structure
Unit cell a=7.366 b=7.366 c=7.366 alpha=90.00 beta=90.00 gamma=90.00
Fractional coordinates of all 16 atoms:
Er: 0.000 0.000 0.000
Er: 0.000 0.500 0.500
Er: 0.500 0.000 0.500
Er: 0.500 0.500 0.000
Mg: 0.250 0.250 0.250
Mg: 0.250 0.250 0.750
Mg: 0.250 0.750 0.250
Mg: 0.250 0.750 0.750
Mg: 0.750 0.250 0.250
Mg: 0.750 0.250 0.750
Mg: 0.750 0.750 0.250
Mg: 0.750 0.750 0.750
Sc: 0.000 0.000 0.500
Sc: 0.000 0.500 0.000
Sc: 0.500 0.000 0.000
Sc: 0.500 0.500 0.500

Record 9
Calculated powder X-ray diffraction pattern of ErMgSe3 for λ = 1.5418 Å (Cu Kα), from a DFT-relaxed cell (PBE, the Materials Project).
No peak broadening, texture or thermal motion is included.

Top 10 peaks for 10 to 90 degrees two-theta, in order of rising 2θ:
13.85 deg, I = 1000
25.00 deg, I = 554
25.52 deg, I = 490
26.66 deg, I = 567
28.14 deg, I = 744
29.11 deg, I = 796
32.12 deg, I = 532
42.42 deg, I = 745
43.58 deg, I = 504
43.91 deg, I = 835

Crystal structure
Unit cell a=7.367 b=7.367 c=6.928 alpha=103.35 beta=103.35 gamma=120.38
Fractional coordinates of all 10 atoms:
Er: 0.195 0.195 0.318
Er: 0.805 0.805 0.682
Mg: 0.336 0.664 0.000
Mg: 0.664 0.336 0.000
Se: 0.122 0.779 0.215
Se: 0.221 0.878 0.785
Se: 0.468 0.468 0.746
Se: 0.532 0.532 0.254
Se: 0.779 0.122 0.215
Se: 0.878 0.221 0.785

Record 10
Calculated powder X-ray diffraction pattern of ErMgSe3 for λ = 1.5418 Å (Cu Kα), from a DFT-relaxed cell (PBE, the Materials Project).
No peak broadening, texture or thermal motion is included.

Top 10 peaks for 10 to 90 degrees two-theta, in order of rising 2θ:
13.84 deg, I = 317
15.59 deg, I = 159
17.53 deg, I = 219
23.82 deg, I = 236
29.50 deg, I = 1000
35.49 deg, I = 170
38.45 deg, I = 682
45.73 deg, I = 428
50.36 deg, I = 189
61.23 deg, I = 155

Crystal structure
Unit cell a=7.528 b=7.528 c=7.528 alpha=54.33 beta=54.33 gamma=54.33
Fractional coordinates of all 10 atoms:
Er: 0.152 0.152 0.152
Er: 0.848 0.848 0.848
Mg: 0.338 0.338 0.338
Mg: 0.662 0.662 0.662
Se: 0.077 0.450 0.726
Se: 0.274 0.923 0.550
Se: 0.450 0.726 0.077
Se: 0.550 0.274 0.923
Se: 0.726 0.077 0.450
Se: 0.923 0.550 0.274

Record 11
Calculated powder X-ray diffraction pattern of SmErMg2 for λ = 1.5418 Å (Cu Kα), from a DFT-relaxed cell (PBE, the Materials Project).
No peak broadening, texture or thermal motion is included.

Top 10 peaks for 10 to 90 degrees two-theta, in order of rising 2θ:
23.38 deg, I = 627
33.30 deg, I = 1000
41.09 deg, I = 194
47.82 deg, I = 181
53.89 deg, I = 267
59.52 deg, I = 376
69.94 deg, I = 115
74.87 deg, I = 128
79.70 deg, I = 161
84.45 deg, I = 77

Crystal structure
Unit cell a=7.609 b=7.609 c=7.609 alpha=90.00 beta=90.00 gamma=90.00
Fractional coordinates of all 16 atoms:
Sm: 0.000 0.000 0.000
Sm: 0.000 0.500 0.500
Sm: 0.500 0.000 0.500
Sm: 0.500 0.500 0.000
Er: 0.000 0.000 0.500
Er: 0.000 0.500 0.000
Er: 0.500 0.000 0.000
Er: 0.500 0.500 0.500
Mg: 0.250 0.250 0.250
Mg: 0.250 0.250 0.750
Mg: 0.250 0.750 0.250
Mg: 0.250 0.750 0.750
Mg: 0.750 0.250 0.250
Mg: 0.750 0.250 0.750
Mg: 0.750 0.750 0.250
Mg: 0.750 0.750 0.750